Theoretical XRD peak list
Compound: Li7Co5O12
Radiation: Cu Kα, 1.54184 Å
Structure: a structure optimized by DFT (PBE+U)
Intensities are scaled so that the largest is 100.

Most intense lines, 10 to 90 degrees two-theta, sorted by position:
| 2theta | I (rel.) |
| --- | --- |
| 12.24 | 9.4 |
| 17.87 | 10.3 |
| 18.40 | 100.0 |
| 36.18 | 28.5 |
| 36.29 | 14.5 |
| 43.67 | 58.1 |
| 44.11 | 27.0 |
| 57.49 | 9.5 |
| 63.57 | 14.8 |
| 64.07 | 23.1 |

a = 29.302 Å, b = 2.905 Å, c = 5.039 Å
α = 90.00°, β = 99.06°, γ = 90.00°
Space group C2/m (No. 12)
Inequivalent atoms, fractional coordinates:
Li  0.000  0.000  0.000 x2
Li  0.080  0.000  0.423 x4
Li  0.080  0.500  0.931 x4
Li  0.250  0.000  0.251 x4
Co  0.000  0.500  0.500 x2
Co  0.165  0.000  0.838 x4
Co  0.165  0.500  0.338 x4
O  0.036  0.000  0.686 x4
O  0.037  0.500  0.247 x4
O  0.125  0.000  0.129 x4
O  0.127  0.500  0.644 x4
O  0.204  0.500  0.035 x4
O  0.205  0.000  0.545 x4